Starting from the PBE geometry in OQMD, the powder diffractogram of LuFeSbIr was calculated for CuKα.
No peak broadening, texture or thermal motion is included.

Main lines, low angle first (5 to 70 degrees two-theta):
- 2θ = 23.76°, rel. 16
- 2θ = 27.51°, rel. 1
- 2θ = 39.29°, rel. 100
- 2θ = 46.44°, rel. 9
- 2θ = 56.78°, rel. 17
- 2θ = 62.41°, rel. 4

Structural model:
```
data_LuFeSbIr
_cell_length_a 6.4855
_cell_length_b 6.4855
_cell_length_c 6.4855
_cell_angle_alpha 90.00
_cell_angle_beta 90.00
_cell_angle_gamma 90.00
_symmetry_space_group_name_H-M 'F -4 3 m'
_symmetry_Int_Tables_number 216
_symmetry_space_group_name_Hall 'F -4 2 3'
loop_
_atom_site_label
_atom_site_type_symbol
_atom_site_fract_x
_atom_site_fract_y
_atom_site_fract_z
_atom_site_occupancy
Lu1 Lu 0.0000 0.0000 0.0000 1
Fe1 Fe 0.2500 0.2500 0.7500 1
Sb1 Sb 0.0000 0.0000 0.5000 1
Ir1 Ir 0.2500 0.2500 0.2500 1
```

=====

Starting from the PBE geometry in OQMD, the powder diffractogram of Cu7Ag was calculated for CuKα.
No peak broadening, texture or thermal motion is included.

Main lines, low angle first (5 to 70 degrees two-theta):
- 2θ = 20.84°, rel. 2
- 2θ = 30.16°, rel. 2
- 2θ = 34.17°, rel. 2
- 2θ = 35.02°, rel. 2
- 2θ = 40.64°, rel. 2
- 2θ = 42.30°, rel. 50
- 2θ = 42.41°, rel. 49
- 2θ = 42.51°, rel. 100
- 2θ = 49.00°, rel. 64
- 2θ = 50.19°, rel. 29

Structural model:
```
data_Cu7Ag
_cell_length_a 11.2146
_cell_length_b 2.6218
_cell_length_c 8.6953
_cell_angle_alpha 90.00
_cell_angle_beta 128.17
_cell_angle_gamma 90.00
_symmetry_space_group_name_H-M 'C 1 2/m 1'
_symmetry_Int_Tables_number 12
loop_
_symmetry_equiv_pos_as_xyz
'x,y,z'
'-x,-y,-z'
'-x,y,-z'
'x,-y,z'
'x+1/2,y+1/2,z'
'-x+1/2,-y+1/2,-z'
'-x+1/2,y+1/2,-z'
'x+1/2,-y+1/2,z'
loop_
_atom_site_label
_atom_site_type_symbol
_atom_site_fract_x
_atom_site_fract_y
_atom_site_fract_z
_atom_site_occupancy
Cu1 Cu 0.0000 0.0000 0.0000 1
Cu2 Cu 0.1252 0.5000 0.8792 1
Cu3 Cu 0.1304 0.0000 0.3680 1
Cu4 Cu 0.2415 0.5000 0.2358 1
Ag1 Ag 0.0000 0.5000 0.5000 1
```

=====

Starting from the PBE geometry in OQMD, the powder diffractogram of Tm2Lu2Tl5Ni2 was calculated for CuKα.
No peak broadening, texture or thermal motion is included.

Main lines, low angle first (5 to 70 degrees two-theta):
- 2θ = 31.42°, rel. 46
- 2θ = 33.20°, rel. 41
- 2θ = 34.30°, rel. 100
- 2θ = 34.55°, rel. 44
- 2θ = 35.12°, rel. 46
- 2θ = 36.16°, rel. 24
- 2θ = 38.29°, rel. 22
- 2θ = 38.44°, rel. 21
- 2θ = 51.92°, rel. 24
- 2θ = 64.22°, rel. 21

Structural model:
```
data_Tm2Lu2Tl5Ni2
_cell_length_a 7.8147
_cell_length_b 3.5222
_cell_length_c 9.5017
_cell_angle_alpha 90.00
_cell_angle_beta 94.63
_cell_angle_gamma 90.00
_symmetry_space_group_name_H-M 'P 1 2/m 1'
_symmetry_Int_Tables_number 10
loop_
_symmetry_equiv_pos_as_xyz
'x,y,z'
'-x,-y,-z'
'-x,y,-z'
'x,-y,z'
loop_
_atom_site_label
_atom_site_type_symbol
_atom_site_fract_x
_atom_site_fract_y
_atom_site_fract_z
_atom_site_occupancy
Tm1 Tm 0.1877 0.0000 0.3360 1
Lu1 Lu 0.2018 0.0000 0.9349 1
Tl1 Tl 0.1499 0.5000 0.6401 1
Tl2 Tl 0.4563 0.5000 0.1626 1
Tl3 Tl 0.5000 0.5000 0.5000 1
Ni1 Ni 0.0710 0.5000 0.1277 1
```

=====

Starting from the PBE geometry in OQMD, the powder diffractogram of TbLuIn4 was calculated for CuKα.
No peak broadening, texture or thermal motion is included.

Main lines, low angle first (5 to 70 degrees two-theta):
- 2θ = 33.44°, rel. 100
- 2θ = 38.26°, rel. 16
- 2θ = 38.93°, rel. 17
- 2θ = 39.22°, rel. 17
- 2θ = 55.73°, rel. 11
- 2θ = 55.95°, rel. 10
- 2θ = 56.45°, rel. 11
- 2θ = 66.11°, rel. 11
- 2θ = 67.03°, rel. 13
- 2θ = 67.42°, rel. 13

Structural model:
```
data_TbLuIn4
_cell_length_a 4.6266
_cell_length_b 4.5943
_cell_length_c 14.1156
_cell_angle_alpha 90.00
_cell_angle_beta 90.00
_cell_angle_gamma 90.00
_symmetry_space_group_name_H-M 'A m m 2'
_symmetry_Int_Tables_number 38
loop_
_symmetry_equiv_pos_as_xyz
'x,y,z'
'-x,-y,z'
'-x,y,z'
'x,-y,z'
'x,y+1/2,z+1/2'
'-x,-y+1/2,z+1/2'
'-x,y+1/2,z+1/2'
'x,-y+1/2,z+1/2'
loop_
_atom_site_label
_atom_site_type_symbol
_atom_site_fract_x
_atom_site_fract_y
_atom_site_fract_z
_atom_site_occupancy
Tb1 Tb 0.0000 0.0000 0.0000 1
Lu1 Lu 0.0000 0.0000 0.3107 1
In1 In 0.0000 0.0000 0.6570 1
In2 In 0.5000 0.0000 0.1574 1
In3 In 0.5000 0.0000 0.4790 1
In4 In 0.5000 0.0000 0.8297 1
```

=====

Starting from the PBE geometry in OQMD, the powder diffractogram of Pr2Y2CI3Br2 was calculated for CuKα.
No peak broadening, texture or thermal motion is included.

Main lines, low angle first (5 to 70 degrees two-theta):
- 2θ = 9.76°, rel. 21
- 2θ = 29.56°, rel. 44
- 2θ = 29.70°, rel. 20
- 2θ = 29.86°, rel. 100
- 2θ = 33.23°, rel. 28
- 2θ = 40.34°, rel. 21
- 2θ = 42.19°, rel. 27
- 2θ = 42.83°, rel. 28
- 2θ = 45.02°, rel. 21
- 2θ = 54.79°, rel. 15

Structural model:
```
data_Pr2Y2CI3Br2
_cell_length_a 18.5863
_cell_length_b 4.0266
_cell_length_c 8.9475
_cell_angle_alpha 90.00
_cell_angle_beta 102.70
_cell_angle_gamma 90.00
_symmetry_space_group_name_H-M 'C 1 2/m 1'
_symmetry_Int_Tables_number 12
loop_
_symmetry_equiv_pos_as_xyz
'x,y,z'
'-x,-y,-z'
'-x,y,-z'
'x,-y,z'
'x+1/2,y+1/2,z'
'-x+1/2,-y+1/2,-z'
'-x+1/2,y+1/2,-z'
'x+1/2,-y+1/2,z'
loop_
_atom_site_label
_atom_site_type_symbol
_atom_site_fract_x
_atom_site_fract_y
_atom_site_fract_z
_atom_site_occupancy
Pr1 Pr 0.0018 0.0000 0.3047 1
Y1 Y 0.1332 0.5000 0.5632 1
C1 C 0.0000 0.5000 0.5000 1
I1 I 0.0000 0.5000 0.0000 1
I2 I 0.1736 0.0000 0.8262 1
Br1 Br 0.1713 0.0000 0.3582 1
```

=====

Starting from the PBE geometry in OQMD, the powder diffractogram of ErLu2In3Fe2Cu was calculated for CuKα.
No peak broadening, texture or thermal motion is included.

Main lines, low angle first (5 to 70 degrees two-theta):
- 2θ = 33.59°, rel. 100
- 2θ = 36.50°, rel. 68
- 2θ = 37.23°, rel. 31
- 2θ = 37.31°, rel. 15
- 2θ = 42.51°, rel. 15
- 2θ = 46.99°, rel. 20
- 2θ = 57.18°, rel. 15
- 2θ = 61.45°, rel. 21
- 2θ = 65.19°, rel. 12
- 2θ = 68.45°, rel. 16

Structural model:
```
data_ErLu2In3Fe2Cu
_cell_length_a 3.8672
_cell_length_b 12.7892
_cell_length_c 7.3615
_cell_angle_alpha 90.00
_cell_angle_beta 90.00
_cell_angle_gamma 90.00
_symmetry_space_group_name_H-M 'A m m 2'
_symmetry_Int_Tables_number 38
loop_
_symmetry_equiv_pos_as_xyz
'x,y,z'
'-x,-y,z'
'-x,y,z'
'x,-y,z'
'x,y+1/2,z+1/2'
'-x,-y+1/2,z+1/2'
'-x,y+1/2,z+1/2'
'x,-y+1/2,z+1/2'
loop_
_atom_site_label
_atom_site_type_symbol
_atom_site_fract_x
_atom_site_fract_y
_atom_site_fract_z
_atom_site_occupancy
Er1 Er 0.0000 0.0000 0.0000 1
Lu1 Lu 0.0000 0.2046 0.6146 1
In1 In 0.5000 0.0000 0.6693 1
In2 In 0.5000 0.1306 0.2807 1
Fe1 Fe 0.5000 0.1678 0.9102 1
Cu1 Cu 0.0000 0.0000 0.4111 1
```

=====

Starting from the PBE geometry in OQMD, the powder diffractogram of Th2Sb2Os5 was calculated for CuKα.
No peak broadening, texture or thermal motion is included.

Main lines, low angle first (5 to 70 degrees two-theta):
- 2θ = 12.84°, rel. 31
- 2θ = 19.32°, rel. 24
- 2θ = 23.11°, rel. 51
- 2θ = 24.59°, rel. 21
- 2θ = 25.43°, rel. 20
- 2θ = 28.84°, rel. 23
- 2θ = 40.42°, rel. 100
- 2θ = 43.98°, rel. 60
- 2θ = 52.77°, rel. 24
- 2θ = 61.25°, rel. 23

Structural model:
```
data_Th2Sb2Os5
_cell_length_a 4.4635
_cell_length_b 4.4635
_cell_length_c 41.3556
_cell_angle_alpha 90.00
_cell_angle_beta 90.00
_cell_angle_gamma 120.00
_symmetry_space_group_name_H-M 'R 3 m'
_symmetry_Int_Tables_number 160
_symmetry_space_group_name_Hall 'R 3 -2"'
loop_
_atom_site_label
_atom_site_type_symbol
_atom_site_fract_x
_atom_site_fract_y
_atom_site_fract_z
_atom_site_occupancy
Th1 Th 0.0000 0.0000 0.0000 1
Th2 Th 0.0000 0.0000 0.1871 1
Sb1 Sb 0.0000 0.0000 0.4128 1
Sb2 Sb 0.0000 0.0000 0.5942 1
Os1 Os 0.0000 0.0000 0.1231 1
Os2 Os 0.0000 0.0000 0.2486 1
Os3 Os 0.0000 0.0000 0.3530 1
Os4 Os 0.0000 0.0000 0.4741 1
Os5 Os 0.0000 0.0000 0.6579 1
```

=====

Starting from the PBE geometry in OQMD, the powder diffractogram of Ta4GaNiN2 was calculated for CuKα.
No peak broadening, texture or thermal motion is included.

Main lines, low angle first (5 to 70 degrees two-theta):
- 2θ = 13.63°, rel. 12
- 2θ = 27.45°, rel. 8
- 2θ = 33.17°, rel. 24
- 2θ = 33.90°, rel. 14
- 2θ = 39.31°, rel. 100
- 2θ = 41.70°, rel. 15
- 2θ = 43.58°, rel. 7
- 2θ = 54.29°, rel. 13
- 2θ = 59.26°, rel. 22
- 2θ = 60.51°, rel. 7

Structural model:
```
data_Ta4GaNiN2
_cell_length_a 3.1184
_cell_length_b 3.1184
_cell_length_c 12.9964
_cell_angle_alpha 90.00
_cell_angle_beta 90.00
_cell_angle_gamma 120.00
_symmetry_space_group_name_H-M 'P -6 m 2'
_symmetry_Int_Tables_number 187
_symmetry_space_group_name_Hall 'P -6 2'
loop_
_atom_site_label
_atom_site_type_symbol
_atom_site_fract_x
_atom_site_fract_y
_atom_site_fract_z
_atom_site_occupancy
Ta1 Ta 0.0000 0.0000 0.1489 1
Ta2 Ta 0.3333 0.6667 0.3339 1
Ga1 Ga 0.0000 0.0000 0.5000 1
Ni1 Ni 0.3333 0.6667 0.0000 1
N1 N 0.6667 0.3333 0.2403 1
```

=====

Starting from the PBE geometry in OQMD, the powder diffractogram of RbPaNO was calculated for CuKα.
No peak broadening, texture or thermal motion is included.

Main lines, low angle first (5 to 70 degrees two-theta):
- 2θ = 10.05°, rel. 59
- 2θ = 23.89°, rel. 34
- 2θ = 27.79°, rel. 100
- 2θ = 28.20°, rel. 42
- 2θ = 29.19°, rel. 51
- 2θ = 43.98°, rel. 27
- 2θ = 49.67°, rel. 26
- 2θ = 50.53°, rel. 27
- 2θ = 51.13°, rel. 21
- 2θ = 53.06°, rel. 27

Structural model:
```
data_RbPaNO
_cell_length_a 6.9909
_cell_length_b 8.8008
_cell_length_c 6.3293
_cell_angle_alpha 90.00
_cell_angle_beta 90.00
_cell_angle_gamma 90.00
_symmetry_space_group_name_H-M 'P c a 21'
_symmetry_Int_Tables_number 29
loop_
_symmetry_equiv_pos_as_xyz
'x,y,z'
'-x,-y,z+1/2'
'-x+1/2,y,z+1/2'
'x+1/2,-y,z'
loop_
_atom_site_label
_atom_site_type_symbol
_atom_site_fract_x
_atom_site_fract_y
_atom_site_fract_z
_atom_site_occupancy
Rb1 Rb 0.0840 0.1279 0.0000 1
Pa1 Pa 0.0868 0.6074 0.9941 1
N1 N 0.1191 0.5649 0.6401 1
O1 O 0.0152 0.1723 0.5446 1
```

=====

Starting from the PBE geometry in OQMD, the powder diffractogram of Dy3HoIn2 was calculated for CuKα.
No peak broadening, texture or thermal motion is included.

Main lines, low angle first (5 to 70 degrees two-theta):
- 2θ = 26.58°, rel. 4
- 2θ = 32.92°, rel. 96
- 2θ = 33.33°, rel. 100
- 2θ = 43.13°, rel. 7
- 2θ = 47.54°, rel. 34
- 2θ = 54.75°, rel. 8
- 2θ = 59.30°, rel. 36
- 2θ = 59.56°, rel. 19
- 2θ = 65.62°, rel. 28
- 2θ = 69.99°, rel. 12

Structural model:
```
data_Dy3HoIn2
_cell_length_a 5.3771
_cell_length_b 5.3771
_cell_length_c 6.7065
_cell_angle_alpha 90.00
_cell_angle_beta 90.00
_cell_angle_gamma 120.00
_symmetry_space_group_name_H-M 'P -6 m 2'
_symmetry_Int_Tables_number 187
_symmetry_space_group_name_Hall 'P -6 2'
loop_
_atom_site_label
_atom_site_type_symbol
_atom_site_fract_x
_atom_site_fract_y
_atom_site_fract_z
_atom_site_occupancy
Dy1 Dy 0.0000 0.0000 0.0000 1
Dy2 Dy 0.3333 0.6667 0.2503 1
Ho1 Ho 0.6667 0.3333 0.5000 1
In1 In 0.0000 0.0000 0.5000 1
In2 In 0.6667 0.3333 0.0000 1
```

=====

Starting from the PBE geometry in OQMD, the powder diffractogram of KRb3Ag2As2 was calculated for CuKα.
No peak broadening, texture or thermal motion is included.

Main lines, low angle first (5 to 70 degrees two-theta):
- 2θ = 13.79°, rel. 48
- 2θ = 16.92°, rel. 55
- 2θ = 26.23°, rel. 69
- 2θ = 27.74°, rel. 57
- 2θ = 27.92°, rel. 72
- 2θ = 31.25°, rel. 99
- 2θ = 31.40°, rel. 90
- 2θ = 31.74°, rel. 100
- 2θ = 34.28°, rel. 45
- 2θ = 36.23°, rel. 73

Structural model:
```
data_KRb3Ag2As2
_cell_length_a 6.5912
_cell_length_b 6.2823
_cell_length_c 6.6423
_cell_angle_alpha 90.00
_cell_angle_beta 104.74
_cell_angle_gamma 90.00
_symmetry_space_group_name_H-M 'P 1 m 1'
_symmetry_Int_Tables_number 6
loop_
_symmetry_equiv_pos_as_xyz
'x,y,z'
'x,-y,z'
loop_
_atom_site_label
_atom_site_type_symbol
_atom_site_fract_x
_atom_site_fract_y
_atom_site_fract_z
_atom_site_occupancy
K1 K 0.0000 0.0000 0.0000 1
Rb1 Rb 0.3636 0.5000 0.0481 1
Rb2 Rb 0.6537 0.0000 0.3388 1
Rb3 Rb 0.7094 0.5000 0.7073 1
Ag1 Ag 0.1801 0.2496 0.5204 1
As1 As 0.4252 0.0000 0.7777 1
As2 As 0.9306 0.5000 0.2679 1
```